1.
Starting from a crystal structure in Alexandria, relaxed with PBE, the X-ray powder pattern of Sm3TmSb3 was computed for Cu Kα (λ = 1.5418 Å).
No peak broadening, texture or thermal motion is included.

Principal peaks in the range 10 to 90 degrees two-theta, in order of rising 2θ:
| h k l | d (Å) | I (rel.) |
| --- | --- | --- |
| 3 0 1 | 2.947 | 100 |
| 3 1 2 | 2.491 | 67 |
| 4 2 2 | 1.903 | 18 |
| 4 3 1 | 1.828 | 24 |
| 6 1 1 | 1.512 | 25 |
| 5 5 2 | 1.268 | 15 |

abc: 9.3204 9.3204 9.3204
angles: 90.00 90.00 90.00
Space group P2_13 (No. 198)
Inequivalent atoms, fractional coordinates:
Sm1 0.0677 0.4323 0.5677 [4 per cell]
Sm2 0.1765 0.8235 0.3235 [4 per cell]
Sm3 0.1790 0.1790 0.1790 [4 per cell]
Tm1 0.0733 0.5733 0.9267 [4 per cell]
Sb1 0.0021 0.2559 0.8721 [12 per cell]

---

2.
Starting from a crystal structure in Alexandria, relaxed with PBE, the X-ray powder pattern of BaZn6Pd3 was computed for Cu Kα (λ = 1.5418 Å).
No peak broadening, texture or thermal motion is included.

Principal peaks in the range 10 to 90 degrees two-theta, in order of rising 2θ:
| h k l | d (Å) | I (rel.) |
| --- | --- | --- |
| 1 0 2 | 2.661 | 42 |
| 2 2 -2 | 2.388 | 81 |
| 0 1 3 | 2.374 | 39 |
| 2 1 1 | 2.275 | 100 |
| 3 0 -2 | 2.261 | 34 |
| 1 2 2 | 2.134 | 33 |

abc: 6.7921 7.1552 8.6246
angles: 90.00 118.89 90.00
Space group P2_1/c (No. 14)
Inequivalent atoms, fractional coordinates:
Ba1 0.0000 0.0000 0.0000 [2 per cell]
Zn1 0.1496 0.0011 0.6686 [4 per cell]
Zn2 0.2954 0.6738 0.9196 [4 per cell]
Zn3 0.4793 0.2487 0.7450 [4 per cell]
Pd1 0.2336 0.1739 0.4018 [4 per cell]
Pd2 0.5000 0.0000 0.0000 [2 per cell]

---

3.
Starting from a crystal structure in Alexandria, relaxed with PBE, the X-ray powder pattern of Ce2AlN3 was computed for Cu Kα (λ = 1.5418 Å).
No peak broadening, texture or thermal motion is included.

Principal peaks in the range 10 to 90 degrees two-theta, in order of rising 2θ:
| h k l | d (Å) | I (rel.) |
| --- | --- | --- |
| 1 1 -3 | 3.136 | 56 |
| 0 0 4 | 2.926 | 91 |
| 1 3 1 | 2.873 | 53 |
| 2 0 0 | 2.722 | 100 |
| 1 3 -2 | 2.704 | 47 |
| 1 3 2 | 2.625 | 52 |

abc: 5.4553 10.7374 11.7462
angles: 90.00 93.83 90.00
Space group C2/c (No. 15)
Inequivalent atoms, fractional coordinates:
Ce1 0.2327 0.2042 0.3514 [8 per cell]
Ce2 0.2405 0.1077 0.9275 [8 per cell]
Al1 0.2299 0.4993 0.8348 [8 per cell]
N1 0.0000 0.0094 0.2500 [4 per cell]
N2 0.0000 0.3999 0.2500 [4 per cell]
N3 0.1827 0.3250 0.8691 [8 per cell]
N4 0.2253 0.0986 0.5306 [8 per cell]

---

4.
Starting from a crystal structure in Alexandria, relaxed with PBE, the X-ray powder pattern of Er4CoBi2 was computed for Cu Kα (λ = 1.5418 Å).
No peak broadening, texture or thermal motion is included.

Principal peaks in the range 10 to 90 degrees two-theta, in order of rising 2θ:
| h k l | d (Å) | I (rel.) |
| --- | --- | --- |
| 1 1 0 | 3.492 | 34 |
| 1 1 2 | 3.210 | 66 |
| 0 0 6 | 2.719 | 53 |
| 1 1 4 | 2.652 | 100 |
| 2 0 0 | 2.470 | 79 |
| 2 0 6 | 1.828 | 57 |

abc: 4.9391 4.9391 16.3097
angles: 90.00 90.00 90.00
Space group I4/mmm (No. 139)
Inequivalent atoms, fractional coordinates:
Er1 0.0000 0.0000 0.1649 [4 per cell]
Er2 0.0000 0.5000 0.0000 [4 per cell]
Co1 0.0000 0.0000 0.0000 [2 per cell]
Bi1 0.0000 0.0000 0.3574 [4 per cell]

---

5.
Starting from a crystal structure in Alexandria, relaxed with PBE, the X-ray powder pattern of ReOsRhSe2 was computed for Cu Kα (λ = 1.5418 Å).
No peak broadening, texture or thermal motion is included.

Principal peaks in the range 10 to 90 degrees two-theta, in order of rising 2θ:
| h k l | d (Å) | I (rel.) |
| --- | --- | --- |
| 1 0 1 | 3.333 | 88 |
| 1 1 0 | 3.317 | 63 |
| 1 1 1 | 2.717 | 54 |
| 0 0 2 | 2.368 | 51 |
| 2 0 0 | 2.346 | 100 |
| 2 0 2 | 1.667 | 70 |

abc: 4.6916 4.6916 4.7368
angles: 90.00 90.00 90.00
Space group P4/mmm (No. 123)
Inequivalent atoms, fractional coordinates:
Re1 0.0000 0.0000 0.0000 [1 per cell]
Os1 0.5000 0.5000 0.5000 [1 per cell]
Rh1 0.0000 0.0000 0.5000 [1 per cell]
Se1 0.0000 0.5000 0.0000 [2 per cell]

---

6.
Starting from a crystal structure in Alexandria, relaxed with PBE, the X-ray powder pattern of Ta3TeSe3 was computed for Cu Kα (λ = 1.5418 Å).
No peak broadening, texture or thermal motion is included.

Principal peaks in the range 10 to 90 degrees two-theta, in order of rising 2θ:
| h k l | d (Å) | I (rel.) |
| --- | --- | --- |
| 1 0 0 | 7.427 | 95 |
| 2 0 0 | 3.713 | 53 |
| 0 0 2 | 2.473 | 58 |
| 2 1 1 | 2.441 | 87 |
| 3 0 1 | 2.214 | 100 |
| 5 0 1 | 1.422 | 31 |

abc: 8.5756 8.5756 4.9458
angles: 90.00 90.00 120.00
Space group P6_3/mmc (No. 194)
Inequivalent atoms, fractional coordinates:
Ta1 0.1196 0.2392 0.2500 [6 per cell]
Te1 0.3333 0.6667 0.2500 [2 per cell]
Se1 0.2000 0.4000 0.7500 [6 per cell]

---

7.
Starting from a crystal structure in Alexandria, relaxed with PBE, the X-ray powder pattern of Ac2CoC4 was computed for Cu Kα (λ = 1.5418 Å).
No peak broadening, texture or thermal motion is included.

Principal peaks in the range 10 to 90 degrees two-theta, in order of rising 2θ:
| h k l | d (Å) | I (rel.) |
| --- | --- | --- |
| 1 2 1 | 3.477 | 100 |
| 1 3 0 | 3.345 | 20 |
| 2 1 1 | 2.991 | 37 |
| 0 0 2 | 2.745 | 20 |
| 0 4 2 | 1.960 | 20 |
| 3 3 2 | 1.659 | 21 |

abc: 7.5252 11.2016 5.4906
angles: 90.00 90.00 90.00
Space group Ibam (No. 72)
Inequivalent atoms, fractional coordinates:
Ac1 0.1816 0.1427 0.0000 [8 per cell]
Co1 0.0000 0.5000 0.2500 [4 per cell]
C1 0.1565 0.4219 0.0000 [8 per cell]
C2 0.1740 0.1177 0.5000 [8 per cell]